(1)
Diffraction record for Ba4LiMg. The powder XRD pattern is simulated, not measured: it uses a GGA-PBE-relaxed structure and copper Kα.

Largest 10 diffraction maxima, in order of rising 2θ, 15 to 90 degrees two-theta:
two_theta, d/Å, I/Imax, h k l
20.32, 4.371, 93.6, 1 0 4
28.89, 3.091, 100.0, 1 1 0
35.54, 2.526, 22.7, 0 2 4
41.31, 2.186, 18.6, 2 0 8
46.39, 1.957, 21.2, 2 1 4
46.51, 1.952, 20.4, 1 1 12
51.14, 1.786, 29.9, 3 0 0
51.33, 1.780, 9.4, 1 0 16
63.84, 1.458, 16.2, 1 3 4
82.45, 1.170, 10.2, 4 1 0

Structural model:
a b c (Å): 6.1911 6.1911 30.1929
angles (deg): 90.00 90.00 120.00
Space group R-3m (No. 166, hexagonal axes)
Inequivalent atoms, fractional coordinates:
Ba 0.0000 0.0000 0.1227 x6
Ba 0.0000 0.0000 0.3725 x6
Li 0.0000 0.0000 0.5000 x3
Mg 0.0000 0.0000 0.0000 x3

***

(2)
Diffraction record for BaLi3Mg3. The powder XRD pattern is simulated, not measured: it uses a GGA-PBE-relaxed structure and copper Kα.

Largest 10 diffraction maxima, in order of rising 2θ, 15 to 90 degrees two-theta:
two_theta, d/Å, I/Imax, h k l
16.55, 5.358, 70.2, 1 1 0
23.48, 3.788, 42.2, 2 0 0
28.86, 3.093, 100.0, 2 1 1
33.45, 2.679, 12.9, 2 2 0
37.54, 2.396, 18.8, 3 1 0
44.75, 2.025, 59.1, 3 2 1
54.13, 1.694, 16.8, 4 2 0
57.01, 1.615, 14.3, 3 3 2
67.74, 1.383, 17.1, 5 2 1
77.69, 1.229, 17.4, 6 1 1

Structural model:
a b c (Å): 7.577 7.577 7.577
angles (deg): 90.00 90.00 90.00
Space group Pm-3n (No. 223)
Inequivalent atoms, fractional coordinates:
Ba 0.000 0.000 0.000 x2
Li 0.000 0.250 0.500 x6
Mg 0.000 0.500 0.250 x6

***

(3)
Diffraction record for BaLi4Mg5. The powder XRD pattern is simulated, not measured: it uses a GGA-PBE-relaxed structure and copper Kα.

Largest 10 diffraction maxima, in order of rising 2θ, 15 to 90 degrees two-theta:
two_theta, d/Å, I/Imax, h k l
25.15, 3.540, 100.0, 1 0 1
26.52, 3.361, 94.2, 1 0 2
28.67, 3.114, 84.4, 1 0 3
28.95, 3.084, 45.3, 0 0 6
31.45, 2.845, 75.9, 1 0 4
34.73, 2.583, 94.5, 1 0 5
35.19, 2.551, 81.4, 1 1 0
46.18, 1.966, 48.7, 1 1 6
60.78, 1.524, 41.7, 1 0 11
62.84, 1.479, 32.8, 2 1 5

Structural model:
a b c (Å): 3.607 3.607 18.506
angles (deg): 90.00 90.00 90.00
Space group P4/mmm (No. 123)
Inequivalent atoms, fractional coordinates:
Ba 0.000 0.000 0.000 x1
Li 0.000 0.000 0.235 x2
Li 0.000 0.000 0.412 x2
Mg 0.500 0.500 0.150 x2
Mg 0.500 0.500 0.323 x2
Mg 0.500 0.500 0.500 x1

***

(4)
Diffraction record for BaLi10Mg2. The powder XRD pattern is simulated, not measured: it uses a GGA-PBE-relaxed structure and copper Kα.

Largest 10 diffraction maxima, in order of rising 2θ, 15 to 90 degrees two-theta:
two_theta, d/Å, I/Imax, h k l
17.19, 5.157, 100.0, 1 1 1
24.18, 3.681, 51.5, 1 1 3
24.50, 3.634, 70.8, 0 4 0
26.95, 3.308, 33.8, 0 2 4
29.87, 2.991, 35.8, 1 3 3
34.29, 2.616, 27.8, 1 1 5
34.55, 2.596, 26.7, 0 4 4
34.79, 2.579, 47.1, 2 2 2
34.94, 2.568, 26.1, 1 5 1
50.15, 1.819, 27.7, 2 6 2

Structural model:
a b c (Å): 5.942 14.509 14.867
angles (deg): 90.00 90.00 90.00
Space group Fmmm (No. 69)
Inequivalent atoms, fractional coordinates:
Ba 0.000 0.000 0.000 x4
Li 0.000 0.117 0.384 x16
Li 0.000 0.180 0.182 x16
Li 0.250 0.250 0.000 x8
Mg 0.250 0.000 0.250 x8

***

(5)
Diffraction record for BaLi10Mg3. The powder XRD pattern is simulated, not measured: it uses a GGA-PBE-relaxed structure and copper Kα.

Largest 10 diffraction maxima, in order of rising 2θ, 15 to 90 degrees two-theta:
two_theta, d/Å, I/Imax, h k l
17.42, 5.090, 58.3, 2 2 0
21.38, 4.156, 100.0, 2 2 2
24.74, 3.599, 51.2, 4 0 0
27.71, 3.219, 56.9, 4 2 0
30.42, 2.939, 39.5, 4 2 2
35.26, 2.545, 51.6, 4 4 0
37.48, 2.400, 22.4, 4 4 2
41.61, 2.170, 60.1, 6 2 2
47.24, 1.924, 20.3, 6 4 2
55.65, 1.651, 22.9, 6 6 2

Structural model:
a b c (Å): 14.397 14.397 14.397
angles (deg): 90.00 90.00 90.00
Space group Fm-3m (No. 225)
Inequivalent atoms, fractional coordinates:
Ba 0.250 0.250 0.250 x8
Li 0.000 0.178 0.178 x48
Li 0.111 0.111 0.389 x32
Mg 0.000 0.000 0.266 x24

***

(6)
Diffraction record for BaLi6Mg. The powder XRD pattern is simulated, not measured: it uses a GGA-PBE-relaxed structure and copper Kα.

Largest 10 diffraction maxima, in order of rising 2θ, 15 to 90 degrees two-theta:
two_theta, d/Å, I/Imax, h k l
15.19, 5.834, 54.2, 1 0 0
21.54, 4.126, 100.0, 1 1 0
26.46, 3.369, 22.9, 1 1 1
30.65, 2.917, 27.1, 2 0 0
34.37, 2.609, 31.5, 2 1 0
37.77, 2.382, 60.3, 2 1 1
43.89, 2.063, 15.4, 2 2 0
46.71, 1.945, 16.3, 3 0 0
49.40, 1.845, 21.4, 3 0 1
59.26, 1.559, 32.0, 3 2 1

Structural model:
a b c (Å): 5.834 5.834 5.834
angles (deg): 90.00 90.00 90.00
Space group Pm-3 (No. 200)
Inequivalent atoms, fractional coordinates:
Ba 0.000 0.000 0.000 x1
Li 0.000 0.278 0.500 x6
Mg 0.500 0.500 0.500 x1

***

(7)
Diffraction record for Ba3Li2Mg. The powder XRD pattern is simulated, not measured: it uses a GGA-PBE-relaxed structure and copper Kα.

Largest 10 diffraction maxima, in order of rising 2θ, 15 to 90 degrees two-theta:
two_theta, d/Å, I/Imax, h k l
20.17, 4.402, 81.4, 1 3 0
28.68, 3.112, 100.0, 2 0 0
35.32, 2.541, 26.4, 2 0 1
40.96, 2.203, 12.5, 2 6 0
46.08, 1.970, 24.6, 3 3 0
46.18, 1.966, 12.3, 1 3 2
50.81, 1.797, 39.9, 3 3 1
63.37, 1.468, 12.0, 4 0 1
67.19, 1.393, 11.5, 4 6 0
81.84, 1.177, 13.4, 5 3 1

Structural model:
a b c (Å): 6.232 18.694 4.392
angles (deg): 90.00 90.00 90.00
Space group Cmmm (No. 65)
Inequivalent atoms, fractional coordinates:
Ba 0.000 0.000 0.000 x2
Ba 0.000 0.336 0.000 x4
Li 0.000 0.166 0.500 x4
Mg 0.000 0.500 0.500 x2

***

(8)
Diffraction record for Ba2LiMg2. The powder XRD pattern is simulated, not measured: it uses a GGA-PBE-relaxed structure and copper Kα.

Largest 10 diffraction maxima, in order of rising 2θ, 15 to 90 degrees two-theta:
two_theta, d/Å, I/Imax, h k l
16.45, 5.388, 29.6, 0 0 4
20.74, 4.283, 100.0, 1 0 1
24.79, 3.592, 21.1, 0 0 6
28.90, 3.090, 25.1, 1 1 0
29.10, 3.069, 74.3, 1 0 5
33.43, 2.680, 55.2, 1 1 4
41.32, 2.185, 20.5, 2 0 0
43.07, 2.100, 20.4, 1 0 9
46.67, 1.946, 23.3, 2 1 1
51.33, 1.780, 30.0, 2 1 5

Structural model:
a b c (Å): 4.370 4.370 21.553
angles (deg): 90.00 90.00 90.00
Space group I4/mmm (No. 139)
Inequivalent atoms, fractional coordinates:
Ba 0.000 0.000 0.104 x4
Li 0.000 0.000 0.500 x2
Mg 0.000 0.500 0.250 x4

***

(9)
Diffraction record for Ba2Li10Mg. The powder XRD pattern is simulated, not measured: it uses a GGA-PBE-relaxed structure and copper Kα.

Largest 10 diffraction maxima, in order of rising 2θ, 15 to 90 degrees two-theta:
two_theta, d/Å, I/Imax, h k l
18.79, 4.724, 72.4, 1 2 0
21.50, 4.134, 45.6, 0 4 1
22.48, 3.955, 100.0, 1 2 1
24.27, 3.667, 21.8, 1 4 0
24.61, 3.617, 35.9, 0 0 2
27.27, 3.271, 31.3, 1 4 1
31.14, 2.872, 47.0, 1 2 2
35.80, 2.508, 25.4, 2 0 1
41.54, 2.174, 30.8, 1 8 1
42.06, 2.148, 26.7, 1 2 3

Structural model:
a b c (Å): 5.348 20.150 7.234
angles (deg): 90.00 90.00 90.00
Space group Pbam (No. 55)
Inequivalent atoms, fractional coordinates:
Ba 0.230 0.152 0.000 x4
Li 0.026 0.716 0.500 x4
Li 0.043 0.573 0.500 x4
Li 0.054 0.858 0.500 x4
Li 0.236 0.467 0.183 x8
Mg 0.000 0.000 0.500 x2

***

(10)
Diffraction record for BaLi2Mg10. The powder XRD pattern is simulated, not measured: it uses a GGA-PBE-relaxed structure and copper Kα.

Largest 10 diffraction maxima, in order of rising 2θ, 15 to 90 degrees two-theta:
two_theta, d/Å, I/Imax, h k l
16.67, 5.319, 59.0, 0 2 2
17.50, 5.068, 69.1, 1 1 1
24.20, 3.678, 61.6, 1 1 3
24.32, 3.660, 70.0, 1 3 1
26.42, 3.374, 51.8, 0 2 4
29.58, 3.020, 100.0, 1 3 3
33.70, 2.659, 72.4, 0 4 4
34.01, 2.636, 95.5, 1 1 5
34.27, 2.617, 93.7, 1 5 1
35.43, 2.534, 83.1, 2 2 2

Structural model:
a b c (Å): 5.764 14.968 15.119
angles (deg): 90.00 90.00 90.00
Space group Fmmm (No. 69)
Inequivalent atoms, fractional coordinates:
Ba 0.000 0.000 0.000 x4
Li 0.250 0.250 0.000 x8
Mg 0.000 0.115 0.391 x16
Mg 0.000 0.180 0.177 x16
Mg 0.250 0.000 0.250 x8

***

(11)
Diffraction record for BaLiMgSb. The powder XRD pattern is simulated, not measured: it uses a GGA-PBE-relaxed structure and copper Kα.

Largest 10 diffraction maxima, in order of rising 2θ, 15 to 90 degrees two-theta:
two_theta, d/Å, I/Imax, h k l
15.30, 5.792, 48.7, 0 0 2
23.04, 3.861, 53.0, 0 0 3
26.52, 3.362, 100.0, 1 1 0
27.63, 3.228, 53.1, 1 1 1
29.81, 2.997, 90.6, 1 0 3
30.75, 2.907, 88.4, 1 1 2
35.40, 2.535, 42.6, 1 1 3
37.85, 2.377, 63.7, 2 0 0
43.45, 2.083, 43.8, 1 0 5
48.91, 1.862, 45.0, 2 1 3

Structural model:
a b c (Å): 4.754 4.754 11.583
angles (deg): 90.00 90.00 90.00
Space group P4/nmm (No. 129, origin choice 2)
Inequivalent atoms, fractional coordinates:
Ba 0.250 0.250 0.223 x2
Li 0.250 0.750 0.000 x2
Mg 0.250 0.750 0.500 x2
Sb 0.250 0.250 0.860 x2

***

(12)
Diffraction record for BaLiMgTl. The powder XRD pattern is simulated, not measured: it uses a GGA-PBE-relaxed structure and copper Kα.

Largest 10 diffraction maxima, in order of rising 2θ, 15 to 90 degrees two-theta:
two_theta, d/Å, I/Imax, h k l
21.00, 4.231, 100.0, 2 0 -1
22.70, 3.917, 15.5, 1 1 -1
28.58, 3.124, 67.4, 1 1 1
29.89, 2.989, 17.4, 0 0 2
32.34, 2.769, 53.7, 2 0 1
35.72, 2.514, 56.3, 0 2 0
38.86, 2.317, 13.3, 3 1 0
41.80, 2.161, 17.2, 2 2 -1
47.20, 1.926, 19.8, 0 2 2
56.12, 1.639, 14.6, 5 1 -2

Structural model:
a b c (Å): 8.709 5.028 6.636
angles (deg): 90.00 115.72 90.00
Space group Cm (No. 8)
Inequivalent atoms, fractional coordinates:
Ba 0.000 0.000 0.000 x2
Li 0.311 0.500 0.431 x2
Mg 0.006 0.500 0.515 x2
Tl 0.205 0.000 0.613 x2